For Li4Ti3Mn3Ni2O16, a GGA+U-relaxed structure gives the computed XRD peak list in this record (Cu Ka).
Intensities are scaled so that the largest is 100.

Largest 6 diffraction maxima, in order of falling intensity, 2θ from 5° to 70°:
Position (°2θ), I_rel, index
19.7, 100, 2 0 1
35.8, 61, 3 1 -2
18.3, 54, 0 0 2
45.5, 45, 2 2 3
36.6, 42, 2 2 -1
32.9, 38, 2 0 -3

Structural model:
```
data_Li4Ti3Mn3Ni2O16
_cell_length_a 10.143
_cell_length_b 5.873
_cell_length_c 9.673
_cell_angle_alpha 90.00
_cell_angle_beta 90.06
_cell_angle_gamma 90.00
_space_group_name_H-M_alt 'C 1 m 1'
_space_group_IT_number 8
loop_
_space_group_symop_operation_xyz
'x,y,z'
'x,-y,z'
'x+1/2,y+1/2,z'
'x+1/2,-y+1/2,z'
loop_
_atom_site_label
_atom_site_type_symbol
_atom_site_fract_x
_atom_site_fract_y
_atom_site_fract_z
Li1 Li 0.000 0.000 0.000
Li2 Li 0.000 0.000 0.499
Li3 Li 0.157 0.500 0.608
Li4 Li 0.324 0.000 0.110
Ti1 Ti 0.325 0.500 0.285
Ti2 Ti 0.410 0.247 0.783
Mn1 Mn 0.079 0.253 0.282
Mn2 Mn 0.164 0.000 0.782
Ni1 Ni 0.162 0.500 0.010
Ni2 Ni 0.328 0.000 0.508
O1 O 0.011 0.500 0.168
O2 O 0.076 0.238 0.891
O3 O 0.154 0.000 0.389
O4 O 0.157 0.500 0.391
O5 O 0.233 0.275 0.167
O6 O 0.251 0.223 0.666
O7 O 0.326 0.000 0.894
O8 O 0.336 0.500 0.893
O9 O 0.416 0.262 0.392
O10 O 0.476 0.000 0.668
O11 O 0.498 0.500 0.185
O12 O 0.498 0.500 0.684
```